For TlV3Cd4O12, a structure optimized by DFT (PBE+U) gives the calculated powder XRD pattern in this record (Cu Kα (λ = 1.5418 Å)).
Intensities are scaled so that the largest is 100.

Crystal structure
Unit cell a=9.566 b=9.566 c=7.210 alpha=107.21 beta=107.21 gamma=92.22
Element x y z (fractional)
Tl 0.026 0.974 0.500
Tl 0.974 0.026 0.000
V 0.132 0.353 0.888
V 0.301 0.704 0.502
V 0.353 0.132 0.388
V 0.652 0.880 0.112
V 0.704 0.301 0.002
V 0.880 0.652 0.612
Cd 0.064 0.383 0.391
Cd 0.267 0.743 0.009
Cd 0.383 0.064 0.891
Cd 0.475 0.491 0.795
Cd 0.491 0.475 0.295
Cd 0.624 0.938 0.604
Cd 0.743 0.267 0.509
Cd 0.938 0.624 0.104
O 0.001 0.333 0.650
O 0.012 0.671 0.852
O 0.046 0.404 0.072
O 0.181 0.181 0.380
O 0.181 0.181 0.880
O 0.185 0.731 0.281
O 0.274 0.822 0.720
O 0.290 0.524 0.522
O 0.297 0.482 0.961
O 0.333 0.001 0.150
O 0.404 0.046 0.572
O 0.478 0.717 0.481
O 0.482 0.297 0.461
O 0.516 0.726 0.039
O 0.524 0.290 0.022
O 0.608 0.970 0.930
O 0.671 0.012 0.352
O 0.717 0.478 0.981
O 0.726 0.516 0.539
O 0.731 0.185 0.781
O 0.822 0.274 0.220
O 0.824 0.827 0.123
O 0.827 0.824 0.623
O 0.970 0.608 0.430

Peak list (10 most intense, 2θ from 15° to 90°, in order of falling intensity)
29.90 deg, intensity 100; 31.83 deg, intensity 63; 29.79 deg, intensity 60; 27.70 deg, intensity 54; 32.04 deg, intensity 42; 30.71 deg, intensity 29; 19.62 deg, intensity 27; 47.18 deg, intensity 27; 27.36 deg, intensity 25; 29.31 deg, intensity 24